Record 1
The following is a computed X-ray diffraction stick pattern of HfGeTe6. It was derived from DFT lattice parameters and positions (PBE), using λ = 1.5418 Å (Cu Kα).
Neutral-atom scattering factors, no anomalous dispersion.

Most intense lines, 10 to 90 degrees two-theta, by angle:
d (Å)  I/Imax
5.505  51.8
3.377  100.0
3.166  67.7
3.127  42.5
2.883  36.7
2.827  42.1
2.755  36.0
2.571  47.3
2.382  34.5
2.167  26.6

Cell and atoms:
```
data_HfGeTe6
_chemical_formula_sum 'Hf1 Ge1 Te6'
_cell_length_a 6.812
_cell_length_b 6.966
_cell_length_c 7.007
_cell_angle_alpha 62.63
_cell_angle_beta 85.74
_cell_angle_gamma 63.92
_symmetry_space_group_name_H-M 'P -1'
_symmetry_Int_Tables_number 2
_symmetry_space_group_name_Hall '-P 1'
loop_
_atom_site_label
_atom_site_type_symbol
_atom_site_fract_x
_atom_site_fract_y
_atom_site_fract_z
_atom_site_occupancy
Hf1 Hf 0.000 0.000 0.000 1
Ge1 Ge 0.500 0.000 0.500 1
Te1 Te 0.170 0.840 0.441 1
Te2 Te 0.304 0.511 0.102 1
Te3 Te 0.312 0.175 0.821 1
```


Record 2
The following is a computed X-ray diffraction stick pattern of Hf3GeTe8. It was derived from DFT lattice parameters and positions (PBE), using λ = 1.5418 Å (Cu Kα).
Neutral-atom scattering factors, no anomalous dispersion.

Most intense lines, 10 to 90 degrees two-theta, by angle:
d (Å)  I/Imax
7.031  44.5
6.220  24.9
3.110  100.0
2.788  97.5
2.469  27.5
2.184  40.8
2.002  62.1
1.942  30.7
1.626  18.9
1.321  29.5

Cell and atoms:
```
data_Hf3GeTe8
_chemical_formula_sum 'Hf6 Ge2 Te16'
_cell_length_a 8.0077
_cell_length_b 8.0077
_cell_length_c 14.0620
_cell_angle_alpha 90.00
_cell_angle_beta 90.00
_cell_angle_gamma 120.00
_symmetry_space_group_name_H-M 'P 63 m c'
_symmetry_Int_Tables_number 186
_symmetry_space_group_name_Hall 'P 6c -2c'
loop_
_atom_site_label
_atom_site_type_symbol
_atom_site_fract_x
_atom_site_fract_y
_atom_site_fract_z
_atom_site_occupancy
Hf1 Hf 0.1672 0.3344 0.0000 1
Ge1 Ge 0.3333 0.6667 0.2240 1
Te1 Te 0.0000 0.0000 0.1258 1
Te2 Te 0.0116 0.5058 0.6204 1
Te3 Te 0.1574 0.3149 0.3754 1
Te4 Te 0.3333 0.6667 0.8745 1
```


Record 3
The following is a computed X-ray diffraction stick pattern of Hf3Ti2Ge3. It was derived from DFT lattice parameters and positions (PBE), using λ = 1.5418 Å (Cu Kα).
Neutral-atom scattering factors, no anomalous dispersion.

Most intense lines, 10 to 90 degrees two-theta, by angle:
d (Å)  I/Imax
3.920  15.7
3.162  20.1
2.675  26.9
2.566  18.4
2.314  100.0
2.263  18.6
2.209  29.5
1.495  16.3
1.464  23.8
1.433  14.9

Cell and atoms:
```
data_Hf3Ti2Ge3
_chemical_formula_sum 'Hf6 Ti4 Ge6'
_cell_length_a 7.8394
_cell_length_b 7.8394
_cell_length_c 5.3496
_cell_angle_alpha 90.00
_cell_angle_beta 90.00
_cell_angle_gamma 120.00
_symmetry_space_group_name_H-M 'P 63/m c m'
_symmetry_Int_Tables_number 193
_symmetry_space_group_name_Hall '-P 6c 2'
loop_
_atom_site_label
_atom_site_type_symbol
_atom_site_fract_x
_atom_site_fract_y
_atom_site_fract_z
_atom_site_occupancy
Hf1 Hf 0.0000 0.2499 0.2500 1
Ti1 Ti 0.3333 0.6667 0.0000 1
Ge1 Ge 0.0000 0.3965 0.7500 1
```